This entry pairs a crystal structure of Li6Ti2O7 with its computed powder diffraction line list. Radiation: λ = 1.5418 Å (Cu Kα). Structure: a GGA-PBE-relaxed structure.
Neutral-atom scattering factors, no anomalous dispersion.

Peak list (12 most intense, 5° ≤ 2θ ≤ 70°, in order of rising 2θ)
d (Å), 2theta, I_rel
5.757, 15.39, 15
4.381, 20.27, 16
4.347, 20.43, 19
4.305, 20.63, 10
3.860, 23.04, 29
3.808, 23.36, 34
3.641, 24.45, 100
2.569, 34.92, 21
2.039, 44.43, 11
2.032, 44.59, 12
1.514, 61.22, 9
1.509, 61.42, 10

Structural model:
a = 5.139 Å, b = 8.157 Å, c = 16.257 Å
α = 90.00°, β = 91.11°, γ = 90.00°
Space group P2_1 (No. 4)
One atom of each set of equivalent atoms:
1 Li 0.141 0.034 0.168 [2 per cell]
2 Li 0.170 0.035 0.943 [2 per cell]
3 Li 0.177 0.762 0.071 [2 per cell]
4 Li 0.188 0.754 0.589 [2 per cell]
5 Li 0.196 0.244 0.071 [2 per cell]
6 Li 0.199 0.245 0.551 [2 per cell]
7 Li 0.219 0.200 0.308 [2 per cell]
8 Li 0.226 0.489 0.180 [2 per cell]
9 Li 0.230 0.038 0.443 [2 per cell]
10 Li 0.270 0.500 0.678 [2 per cell]
11 Li 0.273 0.045 0.685 [2 per cell]
12 Li 0.279 0.212 0.822 [2 per cell]
13 Ti 0.211 0.788 0.300 [2 per cell]
14 Ti 0.269 0.494 0.447 [2 per cell]
15 Ti 0.296 0.779 0.806 [2 per cell]
16 Ti 0.326 0.482 0.955 [2 per cell]
17 O 0.051 0.366 0.765 [2 per cell]
18 O 0.073 0.651 0.383 [2 per cell]
19 O 0.156 0.647 0.892 [2 per cell]
20 O 0.171 0.983 0.823 [2 per cell]
21 O 0.173 0.508 0.554 [2 per cell]
22 O 0.180 0.727 0.705 [2 per cell]
23 O 0.198 0.280 0.427 [2 per cell]
24 O 0.205 0.274 0.942 [2 per cell]
25 O 0.242 0.527 0.060 [2 per cell]
26 O 0.321 0.980 0.057 [2 per cell]
27 O 0.347 0.257 0.191 [2 per cell]
28 O 0.364 0.973 0.338 [2 per cell]
29 O 0.381 0.019 0.561 [2 per cell]
30 O 0.429 0.658 0.245 [2 per cell]